Structure and computed powder diffractogram of HfNi2Pt2 (DFT lattice parameters and positions (PBE); copper Kα).
Peak positions follow from Bragg's law for the DFT cell and can differ from measured ones.

Lattice parameters (Å, degrees): 4.134 5.296 6.855 90.00 90.00 90.00
Element x y z (fractional)
Hf: 0.000 0.000 0.000
Hf: 0.500 0.500 0.500
Ni: 0.000 0.216 0.500
Ni: 0.000 0.784 0.500
Ni: 0.500 0.284 0.000
Ni: 0.500 0.716 0.000
Pt: 0.000 0.500 0.194
Pt: 0.000 0.500 0.806
Pt: 0.500 0.000 0.306
Pt: 0.500 0.000 0.694

Top 10 peaks for 2θ from 5° to 70°, by angle:
- d 3.540, 25.2°, I = 18, (1 0 1)
- d 3.259, 27.4°, I = 15, (1 1 0)
- d 2.648, 33.8°, I = 27, (0 2 0)
- d 2.362, 38.1°, I = 100, (1 1 2)
- d 2.121, 42.6°, I = 54, (1 2 1)
- d 2.098, 43.1°, I = 41, (0 1 3)
- d 2.067, 43.8°, I = 33, (2 0 0)
- d 1.472, 63.1°, I = 27, (2 1 3)
- d 1.467, 63.4°, I = 15, (1 3 2)
- d 1.397, 67.0°, I = 13, (0 3 3)